# TbYAgRu
Computed powder diffraction line list, CuKα. Input: a cell relaxed with PBE.
Lines closer than 0.1° are merged.

Cell and atoms:
Unit cell a=3.438 b=3.438 c=7.509 alpha=90.00 beta=90.00 gamma=90.00
Fractional coordinates of all 4 atoms:
Tb 0.000 0.000 0.000
Y 0.000 0.000 0.554
Ag 0.500 0.500 0.278
Ru 0.500 0.500 0.778

Main lines, in order of falling intensity (10 to 90 degrees two-theta):
d/Å  I_rel
2.535  100
2.431  47
1.423  32
1.719  16
1.486  15
1.268  9
7.509  9
1.877  8
1.096  7
3.126  6